Record 1
Computed XRD peak list of Li2FeAgF6 for Cu Kα (weighted mean of Kα1 and Kα2), from a structure optimized by DFT (PBE+U).
Intensities are scaled so that the largest is 1000.

The 8 most intense peaks (15 to 90 degrees two-theta), sorted by position:
| 2theta | intensity |
| --- | --- |
| 21.26 | 1000 |
| 30.25 | 414 |
| 43.31 | 294 |
| 48.73 | 364 |
| 53.73 | 148 |
| 62.91 | 158 |
| 67.21 | 154 |
| 87.31 | 89 |

Structure:
```
Li2FeAgF6
1.0
0.000 4.179 4.179
4.179 0.000 4.179
4.179 4.179 0.000
Li Fe Ag F
2 1 1 6
Direct
0.250 0.250 0.250
0.750 0.750 0.750
0.000 0.000 0.000
0.500 0.500 0.500
0.225 0.225 0.775
0.225 0.775 0.225
0.225 0.775 0.775
0.775 0.225 0.225
0.775 0.225 0.775
0.775 0.775 0.225
```

Record 2
Computed XRD peak list of Na2FeAgF6 for Cu Kα (weighted mean of Kα1 and Kα2), from a structure optimized by DFT (PBE+U).
Intensities are scaled so that the largest is 1000.

The 8 most intense peaks (15 to 90 degrees two-theta), sorted by position:
| 2theta | intensity |
| --- | --- |
| 20.63 | 987 |
| 29.33 | 1000 |
| 41.97 | 588 |
| 47.20 | 367 |
| 52.02 | 366 |
| 60.85 | 324 |
| 68.97 | 179 |
| 84.12 | 194 |

Structure:
```
Na2FeAgF6
1.0
0.000 4.306 4.306
4.306 0.000 4.306
4.306 4.306 0.000
Na Fe Ag F
2 1 1 6
Direct
0.250 0.250 0.250
0.750 0.750 0.750
0.000 0.000 0.000
0.500 0.500 0.500
0.227 0.227 0.773
0.227 0.773 0.227
0.227 0.773 0.773
0.773 0.227 0.227
0.773 0.227 0.773
0.773 0.773 0.227
```

Record 3
Computed XRD peak list of FeNiAg2F7 for Cu Kα (weighted mean of Kα1 and Kα2), from a structure optimized by DFT (PBE+U).
Intensities are scaled so that the largest is 1000.

The 8 most intense peaks (15 to 90 degrees two-theta), sorted by position:
| 2theta | intensity |
| --- | --- |
| 28.75 | 1000 |
| 29.10 | 943 |
| 33.31 | 402 |
| 33.93 | 183 |
| 48.28 | 770 |
| 56.55 | 317 |
| 57.16 | 263 |
| 57.58 | 158 |

Structure:
```
FeNiAg2F7
1.0
-3.770 5.284 3.839
3.770 -5.284 3.839
3.770 5.284 -3.839
Fe Ni Ag F
2 2 4 14
Direct
0.500 0.000 0.000
0.500 0.500 0.500
0.000 0.000 0.000
0.500 0.000 0.500
0.000 0.000 0.500
0.000 0.500 0.000
0.000 0.500 0.500
0.500 0.500 0.000
0.134 0.229 0.905
0.176 0.771 0.405
0.199 0.274 0.318
0.199 0.881 0.925
0.411 0.661 0.750
0.457 0.274 0.575
0.457 0.881 0.182
0.543 0.119 0.818
0.543 0.726 0.425
0.589 0.339 0.250
0.801 0.119 0.075
0.801 0.726 0.682
0.824 0.229 0.595
0.866 0.771 0.095
```

Record 4
Computed XRD peak list of Fe4AgPXe2F6 for Cu Kα (weighted mean of Kα1 and Kα2), from a structure optimized by DFT (PBE+U).
Intensities are scaled so that the largest is 1000.

The 8 most intense peaks (15 to 90 degrees two-theta), sorted by position:
| 2theta | intensity |
| --- | --- |
| 20.74 | 1000 |
| 22.49 | 243 |
| 27.20 | 243 |
| 28.58 | 166 |
| 35.23 | 221 |
| 38.46 | 210 |
| 41.23 | 293 |
| 42.20 | 191 |

Structure:
```
Fe4AgPXe2F6
1.0
-5.096 5.096 7.906
5.096 -5.096 7.906
5.096 5.096 -7.906
Fe Ag P Xe F
8 2 2 4 12
Direct
0.002 0.738 0.811
0.262 0.073 0.265
0.309 0.573 0.811
0.427 0.238 0.735
0.502 0.691 0.265
0.762 0.498 0.189
0.809 0.998 0.735
0.927 0.191 0.189
0.000 0.500 0.500
0.500 0.000 0.500
0.000 0.000 0.000
0.500 0.500 0.000
0.018 0.018 0.536
0.482 0.482 0.464
0.518 0.982 0.000
0.982 0.518 0.000
0.117 0.117 0.000
0.262 0.514 0.589
0.327 0.738 0.253
0.383 0.383 0.000
0.426 0.014 0.253
0.486 0.074 0.747
0.617 0.617 0.000
0.762 0.173 0.747
0.827 0.574 0.589
0.883 0.883 0.000
0.926 0.673 0.411
0.986 0.238 0.411
```

Record 5
Computed XRD peak list of Fe4AgXeF5 for Cu Kα (weighted mean of Kα1 and Kα2), from a structure optimized by DFT (PBE+U).
Intensities are scaled so that the largest is 1000.

The 8 most intense peaks (15 to 90 degrees two-theta), sorted by position:
| 2theta | intensity |
| --- | --- |
| 27.79 | 1000 |
| 29.00 | 687 |
| 29.91 | 930 |
| 33.39 | 853 |
| 36.39 | 649 |
| 39.53 | 654 |
| 43.48 | 508 |
| 47.32 | 564 |

Structure:
```
Fe4AgXeF5
1.0
-3.391 3.391 8.641
3.391 -3.391 8.641
3.391 3.391 -8.641
Fe Ag Xe F
8 2 2 10
Direct
0.105 0.883 0.610
0.117 0.726 0.222
0.274 0.495 0.390
0.495 0.105 0.222
0.505 0.895 0.778
0.726 0.505 0.610
0.883 0.274 0.778
0.895 0.117 0.390
0.000 0.500 0.500
0.500 0.000 0.500
0.395 0.395 0.000
0.605 0.605 0.000
0.012 0.615 0.838
0.174 0.012 0.397
0.210 0.210 0.000
0.222 0.826 0.838
0.385 0.222 0.397
0.615 0.778 0.603
0.778 0.174 0.162
0.790 0.790 0.000
0.826 0.988 0.603
0.988 0.385 0.162
```

Record 6
Computed XRD peak list of MnAgH8O4F4 for Cu Kα (weighted mean of Kα1 and Kα2), from a structure optimized by DFT (PBE+U).
Intensities are scaled so that the largest is 1000.

The 8 most intense peaks (15 to 90 degrees two-theta), sorted by position:
| 2theta | intensity |
| --- | --- |
| 15.49 | 658 |
| 17.99 | 1000 |
| 20.03 | 602 |
| 24.58 | 548 |
| 24.80 | 646 |
| 26.03 | 574 |
| 32.11 | 502 |
| 40.71 | 725 |

Structure:
```
MnAgH8O4F4
1.0
7.018 0.000 0.000
0.000 7.172 0.000
-1.875 0.000 7.244
Mn Ag H O F
2 2 16 8 8
Direct
0.234 0.250 0.450
0.766 0.750 0.550
0.462 0.250 0.962
0.538 0.750 0.038
0.031 0.636 0.381
0.031 0.864 0.381
0.158 0.540 0.880
0.158 0.960 0.880
0.207 0.507 0.097
0.207 0.993 0.097
0.457 0.631 0.635
0.457 0.869 0.635
0.543 0.131 0.365
0.543 0.369 0.365
0.793 0.007 0.903
0.793 0.493 0.903
0.842 0.040 0.120
0.842 0.460 0.120
0.969 0.136 0.619
0.969 0.364 0.619
0.001 0.250 0.554
0.269 0.522 0.991
0.269 0.978 0.991
0.458 0.250 0.337
0.542 0.750 0.663
0.731 0.022 0.009
0.731 0.478 0.009
0.999 0.750 0.446
0.096 0.039 0.273
0.096 0.461 0.273
0.356 0.050 0.625
0.356 0.450 0.625
0.644 0.550 0.375
0.644 0.950 0.375
0.904 0.539 0.727
0.904 0.961 0.727
```

Record 7
Computed XRD peak list of InNiAg2F7 for Cu Kα (weighted mean of Kα1 and Kα2), from a structure optimized by DFT (PBE+U).
Intensities are scaled so that the largest is 1000.

The 8 most intense peaks (15 to 90 degrees two-theta), sorted by position:
| 2theta | intensity |
| --- | --- |
| 27.89 | 1000 |
| 28.62 | 864 |
| 32.74 | 575 |
| 46.98 | 596 |
| 47.91 | 158 |
| 55.09 | 300 |
| 56.34 | 258 |
| 78.14 | 158 |

Structure:
```
InNiAg2F7
1.0
-3.798 5.469 3.945
3.798 -5.469 3.945
3.798 5.469 -3.945
In Ni Ag F
2 2 4 14
Direct
0.000 0.000 0.000
0.500 0.000 0.500
0.500 0.000 0.000
0.500 0.500 0.500
0.000 0.000 0.500
0.000 0.500 0.000
0.000 0.500 0.500
0.500 0.500 0.000
0.131 0.231 0.900
0.168 0.769 0.400
0.189 0.275 0.325
0.189 0.864 0.914
0.422 0.672 0.750
0.450 0.275 0.586
0.450 0.864 0.175
0.550 0.136 0.825
0.550 0.725 0.414
0.578 0.328 0.250
0.811 0.136 0.086
0.811 0.725 0.675
0.832 0.231 0.600
0.869 0.769 0.100
```

Record 8
Computed XRD peak list of Li2MnAgF6 for Cu Kα (weighted mean of Kα1 and Kα2), from a structure optimized by DFT (PBE+U).
Intensities are scaled so that the largest is 1000.

The 8 most intense peaks (15 to 90 degrees two-theta), sorted by position:
| 2theta | intensity |
| --- | --- |
| 20.88 | 1000 |
| 29.70 | 405 |
| 34.98 | 98 |
| 42.50 | 307 |
| 47.82 | 378 |
| 52.71 | 150 |
| 61.68 | 169 |
| 65.87 | 161 |

Structure:
```
Li2MnAgF6
1.0
0.000 4.254 4.254
4.254 0.000 4.254
4.254 4.254 0.000
Li Mn Ag F
2 1 1 6
Direct
0.250 0.250 0.250
0.750 0.750 0.750
0.000 0.000 0.000
0.500 0.500 0.500
0.229 0.229 0.771
0.229 0.771 0.229
0.229 0.771 0.771
0.771 0.229 0.229
0.771 0.229 0.771
0.771 0.771 0.229
```

Record 9
Computed XRD peak list of Li2NiAgF6 for Cu Kα (weighted mean of Kα1 and Kα2), from a structure optimized by DFT (PBE+U).
Intensities are scaled so that the largest is 1000.

The 8 most intense peaks (15 to 90 degrees two-theta), sorted by position:
| 2theta | intensity |
| --- | --- |
| 21.44 | 1000 |
| 30.50 | 419 |
| 43.67 | 298 |
| 49.15 | 378 |
| 54.20 | 157 |
| 63.47 | 163 |
| 67.82 | 161 |
| 88.19 | 89 |

Structure:
```
Li2NiAgF6
1.0
0.000 4.145 4.145
4.145 0.000 4.145
4.145 4.145 0.000
Li Ni Ag F
2 1 1 6
Direct
0.250 0.250 0.250
0.750 0.750 0.750
0.000 0.000 0.000
0.500 0.500 0.500
0.231 0.231 0.769
0.231 0.769 0.231
0.231 0.769 0.769
0.769 0.231 0.231
0.769 0.231 0.769
0.769 0.769 0.231
```

Record 10
Computed XRD peak list of MnAgF3 for Cu Kα (weighted mean of Kα1 and Kα2), from a structure optimized by DFT (PBE+U).
Intensities are scaled so that the largest is 1000.

The 8 most intense peaks (15 to 90 degrees two-theta), sorted by position:
| 2theta | intensity |
| --- | --- |
| 20.14 | 312 |
| 28.63 | 1000 |
| 40.93 | 430 |
| 46.02 | 136 |
| 50.71 | 392 |
| 59.27 | 255 |
| 67.12 | 163 |
| 81.70 | 189 |

Structure:
```
MnAgF3
1.0
4.410 0.000 0.000
0.000 4.410 0.000
0.000 0.000 4.410
Mn Ag F
1 1 3
Direct
0.000 0.000 0.000
0.500 0.500 0.500
0.000 0.500 0.500
0.500 0.000 0.500
0.500 0.500 0.000
```

Record 11
Computed XRD peak list of Rb2MnAgF6 for Cu Kα (weighted mean of Kα1 and Kα2), from a structure optimized by DFT (PBE+U).
Intensities are scaled so that the largest is 1000.

The 8 most intense peaks (15 to 90 degrees two-theta), sorted by position:
| 2theta | intensity |
| --- | --- |
| 28.78 | 1000 |
| 35.44 | 56 |
| 41.15 | 401 |
| 50.99 | 379 |
| 59.61 | 236 |
| 67.52 | 183 |
| 75.00 | 73 |
| 82.22 | 206 |

Structure:
```
Rb2MnAgF6
1.0
0.000 4.387 4.387
4.387 0.000 4.387
4.387 4.387 0.000
Rb Mn Ag F
2 1 1 6
Direct
0.250 0.250 0.250
0.750 0.750 0.750
0.000 0.000 0.000
0.500 0.500 0.500
0.225 0.225 0.775
0.225 0.775 0.225
0.225 0.775 0.775
0.775 0.225 0.225
0.775 0.225 0.775
0.775 0.775 0.225
```